No. 1
Starting from a cell relaxed with PBE, the XRD peak list of TiH10N3F5 was calculated for CuKα.

Most intense lines, 2θ = 10–90°, in order of falling intensity:
| two_theta | I_rel | h k l |
| --- | --- | --- |
| 15.0 | 100.0 | 1 1 0 |
| 18.4 | 80.3 | 2 0 -2 |
| 15.7 | 64.6 | 0 0 2 |
| 15.5 | 41.9 | 1 1 -1 |
| 30.5 | 33.9 | 3 1 -3 |
| 25.4 | 33.7 | 1 1 -3 |
| 18.2 | 26.0 | 1 1 1 |
| 23.8 | 23.5 | 1 1 2 |

Cell and atoms:
abc: 11.4119 7.0986 12.1109
angles: 90.00 110.78 90.00
Space group Cc (No. 9)
Symmetry-distinct sites (fractional):
Ti 0.0000 0.1025 0.0000 x4
H 0.0465 0.1997 0.6700 x4
H 0.1890 0.4345 0.0919 x4
H 0.2087 0.3914 0.6913 x4
H 0.2336 0.1152 0.8565 x4
H 0.2597 0.0382 0.9948 x4
H 0.2924 0.4117 0.2337 x4
H 0.3253 0.0777 0.4086 x4
H 0.3262 0.4384 0.6388 x4
H 0.3764 0.1419 0.9634 x4
H 0.4240 0.3302 0.5969 x4
N 0.2545 0.4969 0.6631 x4
N 0.2997 0.0541 0.9304 x4
N 0.4867 0.4101 0.8749 x4
F 0.0586 0.3442 0.9846 x4
F 0.1169 0.2467 0.7466 x4
F 0.1686 0.0416 0.0860 x4
F 0.3445 0.3141 0.3797 x4
F 0.4603 0.3489 0.0709 x4

No. 2
Starting from a cell relaxed with PBE, the XRD peak list of Nd6TmIn3 was calculated for CuKα.

Most intense lines, 2θ = 10–90°, in order of falling intensity:
| two_theta | I_rel | h k l |
| --- | --- | --- |
| 28.2 | 100.0 | 3 3 0 |
| 35.8 | 60.8 | 3 1 2 |
| 29.2 | 55.1 | 2 4 1 |
| 33.7 | 49.4 | 0 4 2 |
| 31.4 | 47.1 | 4 0 0 |
| 37.7 | 27.4 | 2 6 1 |
| 61.9 | 18.4 | 3 3 4 |
| 35.3 | 17.5 | 3 5 0 |

Cell and atoms:
abc: 11.3979 17.1044 6.8080
angles: 90.00 90.00 90.00
Space group Cmc2_1 (No. 36)
Symmetry-distinct sites (fractional):
Nd 0.0000 0.0278 0.0000 x4
Nd 0.0000 0.3382 0.8168 x4
Nd 0.1704 0.4921 0.0327 x8
Nd 0.2245 0.1801 0.7886 x8
Tm 0.0000 0.2086 0.4316 x4
In 0.0000 0.3823 0.2997 x4
In 0.2072 0.1326 0.2579 x8